(1)
For TbMg4Cu, a structure optimized by DFT (GGA-PBE) gives the simulated powder diffraction line list in this record (Cu Kα (weighted mean of Kα1 and Kα2)).

The 10 most intense peaks (15 to 90 degrees two-theta), in order of rising 2θ:
(2 2 0), 2θ 16.0, I 21; (2 4 0), 2θ 22.3, I 25; (3 3 0), 2θ 24.1, I 18; (2 4 1), 2θ 31.5, I 64; (3 3 1), 2θ 32.9, I 57; (5 1 0), 2θ 34.1, I 23; (0 6 1), 2θ 35.0, I 100; (3 5 1), 2θ 37.6, I 45; (4 6 0), 2θ 38.3, I 21; (0 0 2), 2θ 44.9, I 24

Atomic structure:
```
data_TbMg4Cu
_chemical_formula_sum 'Tb8 Mg32 Cu8'
_cell_length_a 13.274
_cell_length_b 19.982
_cell_length_c 4.037
_cell_angle_alpha 90.00
_cell_angle_beta 90.00
_cell_angle_gamma 90.00
_space_group_name_H-M_alt 'C m m m'
_space_group_IT_number 65
_space_group_name_Hall '-C 2 2'
loop_
_atom_site_label
_atom_site_type_symbol
_atom_site_fract_x
_atom_site_fract_y
_atom_site_fract_z
Tb1 Tb 0.000 0.132 0.000
Tb2 Tb 0.197 0.000 0.000
Mg1 Mg 0.000 0.000 0.500
Mg2 Mg 0.000 0.335 0.000
Mg3 Mg 0.000 0.500 0.000
Mg4 Mg 0.120 0.245 0.500
Mg5 Mg 0.130 0.420 0.500
Mg6 Mg 0.244 0.331 0.000
Cu1 Cu 0.160 0.106 0.500
```



(2)
For TbMg2Cu, a structure optimized by DFT (GGA-PBE) gives the simulated powder diffraction line list in this record (Cu Kα (weighted mean of Kα1 and Kα2)).

The 10 most intense peaks (15 to 90 degrees two-theta), in order of rising 2θ:
(1 1 1), 2θ 22.1, I 24; (2 0 0), 2θ 25.6, I 50; (2 2 0), 2θ 36.5, I 100; (3 1 1), 2θ 43.1, I 13; (2 2 2), 2θ 45.1, I 15; (4 0 0), 2θ 52.6, I 17; (4 2 0), 2θ 59.3, I 19; (4 2 2), 2θ 65.7, I 34; (4 4 0), 2θ 77.5, I 11; (6 2 0), 2θ 88.9, I 15

Atomic structure:
```
data_TbMg2Cu
_chemical_formula_sum 'Tb4 Mg8 Cu4'
_cell_length_a 6.964
_cell_length_b 6.964
_cell_length_c 6.964
_cell_angle_alpha 90.00
_cell_angle_beta 90.00
_cell_angle_gamma 90.00
_space_group_name_H-M_alt 'F m -3 m'
_space_group_IT_number 225
_space_group_name_Hall '-F 4 2 3'
loop_
_atom_site_label
_atom_site_type_symbol
_atom_site_fract_x
_atom_site_fract_y
_atom_site_fract_z
Tb1 Tb 0.000 0.000 0.000
Mg1 Mg 0.250 0.250 0.250
Cu1 Cu 0.000 0.000 0.500
```



(3)
For Tb2MgCu2, a structure optimized by DFT (GGA-PBE) gives the simulated powder diffraction line list in this record (Cu Kα (weighted mean of Kα1 and Kα2)).

The 10 most intense peaks (15 to 90 degrees two-theta), in order of rising 2θ:
(1 1 0), 2θ 16.2, I 21; (2 0 0), 2θ 22.9, I 17; (2 1 0), 2θ 25.7, I 20; (2 0 1), 2θ 33.7, I 30; (2 1 1), 2θ 35.6, I 100; (3 1 0), 2θ 36.6, I 23; (4 1 0), 2θ 48.4, I 17; (0 0 2), 2θ 49.8, I 21; (4 1 1), 2θ 54.8, I 19; (2 1 3), 2θ 84.1, I 11

Atomic structure:
```
data_Tb2MgCu2
_chemical_formula_sum 'Tb4 Mg2 Cu4'
_cell_length_a 7.760
_cell_length_b 7.760
_cell_length_c 3.660
_cell_angle_alpha 90.00
_cell_angle_beta 90.00
_cell_angle_gamma 90.00
_space_group_name_H-M_alt 'P 4/m b m'
_space_group_IT_number 127
_space_group_name_Hall '-P 4 2ab'
loop_
_atom_site_label
_atom_site_type_symbol
_atom_site_fract_x
_atom_site_fract_y
_atom_site_fract_z
Tb1 Tb 0.176 0.324 0.000
Mg1 Mg 0.000 0.000 0.500
Cu1 Cu 0.118 0.618 0.500
```



(4)
For Mg14TiCu, a structure optimized by DFT (GGA-PBE) gives the simulated powder diffraction line list in this record (Cu Kα (weighted mean of Kα1 and Kα2)).

The 10 most intense peaks (15 to 90 degrees two-theta), in order of rising 2θ:
(0 0 4), 2θ 32.8, I 13; (0 2 2), 2θ 33.1, I 26; (4 0 0), 2θ 35.9, I 38; (2 0 4), 2θ 37.6, I 51; (2 2 2), 2θ 37.8, I 100; (4 2 2), 2θ 49.6, I 16; (0 2 6), 2θ 58.8, I 17; (6 2 2), 2θ 65.7, I 17; (4 2 6), 2θ 70.8, I 18; (2 4 4), 2θ 72.2, I 13

Atomic structure:
```
data_Mg14TiCu
_chemical_formula_sum 'Mg28 Ti2 Cu2'
_cell_length_a 10.009
_cell_length_b 6.244
_cell_length_c 10.910
_cell_angle_alpha 90.00
_cell_angle_beta 90.00
_cell_angle_gamma 90.00
_space_group_name_H-M_alt 'A m m 2'
_space_group_IT_number 38
_space_group_name_Hall 'A 2 -2'
loop_
_atom_site_label
_atom_site_type_symbol
_atom_site_fract_x
_atom_site_fract_y
_atom_site_fract_z
Mg1 Mg 0.000 0.000 0.000
Mg2 Mg 0.000 0.000 0.499
Mg3 Mg 0.000 0.249 0.251
Mg4 Mg 0.251 0.000 0.664
Mg5 Mg 0.261 0.000 0.163
Mg6 Mg 0.262 0.249 0.920
Mg7 Mg 0.500 0.243 0.753
Ti1 Ti 0.500 0.000 0.505
Cu1 Cu 0.500 0.000 0.996
```



(5)
For Mg14TiCu, a structure optimized by DFT (GGA-PBE) gives the simulated powder diffraction line list in this record (Cu Kα (weighted mean of Kα1 and Kα2)).

The 10 most intense peaks (15 to 90 degrees two-theta), in order of rising 2θ:
(1 0 0), 2θ 16.3, I 13; (1 0 2), 2θ 24.2, I 6; (2 0 0), 2θ 32.9, I 26; (0 0 4), 2θ 35.9, I 25; (2 0 2), 2θ 37.6, I 100; (2 0 4), 2θ 49.5, I 15; (2 2 0), 2θ 58.8, I 17; (2 0 6), 2θ 65.7, I 18; (2 2 4), 2θ 70.8, I 18; (4 0 2), 2θ 71.9, I 13

Atomic structure:
```
data_Mg14TiCu
_chemical_formula_sum 'Mg14 Ti1 Cu1'
_cell_length_a 6.2847
_cell_length_b 6.2847
_cell_length_c 10.0007
_cell_angle_alpha 90.00
_cell_angle_beta 90.00
_cell_angle_gamma 120.00
_space_group_name_H-M_alt 'P -6 m 2'
_space_group_IT_number 187
_space_group_name_Hall 'P -6 2'
loop_
_atom_site_label
_atom_site_type_symbol
_atom_site_fract_x
_atom_site_fract_y
_atom_site_fract_z
Mg1 Mg 0.0000 0.0000 0.2469
Mg2 Mg 0.0136 0.5068 0.2542
Mg3 Mg 0.3313 0.1656 0.5000
Mg4 Mg 0.3400 0.1700 0.0000
Ti1 Ti 0.3333 0.6667 0.0000
Cu1 Cu 0.3333 0.6667 0.5000
```



(6)
For Tm2MgCu2, a structure optimized by DFT (GGA-PBE) gives the simulated powder diffraction line list in this record (Cu Kα (weighted mean of Kα1 and Kα2)).

The 10 most intense peaks (15 to 90 degrees two-theta), in order of rising 2θ:
(1 1 0), 2θ 16.5, I 23; (2 0 0), 2θ 23.4, I 15; (2 1 0), 2θ 26.2, I 23; (2 0 1), 2θ 34.7, I 23; (2 1 1), 2θ 36.7, I 100; (3 1 0), 2θ 37.4, I 26; (4 1 0), 2θ 49.4, I 14; (3 3 0), 2θ 50.9, I 11; (4 1 1), 2θ 56.3, I 17; (3 3 1), 2θ 57.7, I 13

Atomic structure:
```
data_Tm2MgCu2
_chemical_formula_sum 'Tm4 Mg2 Cu4'
_cell_length_a 7.609
_cell_length_b 7.609
_cell_length_c 3.526
_cell_angle_alpha 90.00
_cell_angle_beta 90.00
_cell_angle_gamma 90.00
_space_group_name_H-M_alt 'P 4/m b m'
_space_group_IT_number 127
_space_group_name_Hall '-P 4 2ab'
loop_
_atom_site_label
_atom_site_type_symbol
_atom_site_fract_x
_atom_site_fract_y
_atom_site_fract_z
Tm1 Tm 0.171 0.329 0.000
Mg1 Mg 0.000 0.000 0.500
Cu1 Cu 0.121 0.621 0.500
```



(7)
For Mg14VCu, a structure optimized by DFT (GGA-PBE) gives the simulated powder diffraction line list in this record (Cu Kα (weighted mean of Kα1 and Kα2)).

The 10 most intense peaks (15 to 90 degrees two-theta), in order of rising 2θ:
(1 0 2), 2θ 18.6, I 7; (0 0 4), 2θ 33.0, I 26; (4 0 0), 2θ 35.9, I 25; (2 2 2), 2θ 37.7, I 100; (4 0 4), 2θ 49.6, I 15; (0 2 6), 2θ 59.0, I 11; (6 2 2), 2θ 65.8, I 17; (4 4 0), 2θ 71.0, I 6; (4 2 6), 2θ 71.1, I 12; (2 4 4), 2θ 72.1, I 9

Atomic structure:
```
data_Mg14VCu
_chemical_formula_sum 'Mg28 V2 Cu2'
_cell_length_a 9.993
_cell_length_b 6.272
_cell_length_c 10.835
_cell_angle_alpha 90.00
_cell_angle_beta 90.00
_cell_angle_gamma 90.00
_space_group_name_H-M_alt 'A m m 2'
_space_group_IT_number 38
_space_group_name_Hall 'A 2 -2'
loop_
_atom_site_label
_atom_site_type_symbol
_atom_site_fract_x
_atom_site_fract_y
_atom_site_fract_z
Mg1 Mg 0.000 0.000 0.000
Mg2 Mg 0.000 0.000 0.499
Mg3 Mg 0.000 0.249 0.252
Mg4 Mg 0.253 0.000 0.665
Mg5 Mg 0.259 0.000 0.164
Mg6 Mg 0.265 0.249 0.922
Mg7 Mg 0.500 0.245 0.750
V1 V 0.500 0.000 0.503
Cu1 Cu 0.500 0.000 0.001
```



(8)
For Mg14VCu, a structure optimized by DFT (GGA-PBE) gives the simulated powder diffraction line list in this record (Cu Kα (weighted mean of Kα1 and Kα2)).

The 10 most intense peaks (15 to 90 degrees two-theta), in order of rising 2θ:
(1 0 0), 2θ 16.4, I 14; (1 0 2), 2θ 24.2, I 7; (2 0 0), 2θ 33.1, I 26; (0 0 4), 2θ 35.9, I 26; (2 0 2), 2θ 37.8, I 100; (2 0 4), 2θ 49.7, I 15; (2 2 0), 2θ 59.1, I 17; (2 0 6), 2θ 65.8, I 18; (2 2 4), 2θ 71.2, I 18; (4 0 2), 2θ 72.4, I 13

Atomic structure:
```
data_Mg14VCu
_chemical_formula_sum 'Mg14 V1 Cu1'
_cell_length_a 6.2488
_cell_length_b 6.2488
_cell_length_c 9.9931
_cell_angle_alpha 90.00
_cell_angle_beta 90.00
_cell_angle_gamma 120.00
_space_group_name_H-M_alt 'P -6 m 2'
_space_group_IT_number 187
_space_group_name_Hall 'P -6 2'
loop_
_atom_site_label
_atom_site_type_symbol
_atom_site_fract_x
_atom_site_fract_y
_atom_site_fract_z
Mg1 Mg 0.0000 0.0000 0.2478
Mg2 Mg 0.0129 0.5065 0.2535
Mg3 Mg 0.3316 0.1658 0.5000
Mg4 Mg 0.3370 0.1685 0.0000
V1 V 0.3333 0.6667 0.0000
Cu1 Cu 0.3333 0.6667 0.5000
```



(9)
For YMgCu, a structure optimized by DFT (GGA-PBE) gives the simulated powder diffraction line list in this record (Cu Kα (weighted mean of Kα1 and Kα2)).

The 9 most intense peaks (15 to 90 degrees two-theta), in order of rising 2θ:
(1 1 1), 2θ 22.7, I 74; (2 2 0), 2θ 37.5, I 100; (3 1 1), 2θ 44.3, I 36; (4 0 0), 2θ 54.1, I 17; (3 3 1), 2θ 59.4, I 15; (4 2 2), 2θ 67.6, I 32; (5 1 1), 2θ 72.4, I 10; (4 4 0), 2θ 80.0, I 10; (5 3 1), 2θ 84.5, I 10

Atomic structure:
```
data_YMgCu
_chemical_formula_sum 'Y4 Mg4 Cu4'
_cell_length_a 6.786
_cell_length_b 6.786
_cell_length_c 6.786
_cell_angle_alpha 90.00
_cell_angle_beta 90.00
_cell_angle_gamma 90.00
_space_group_name_H-M_alt 'F -4 3 m'
_space_group_IT_number 216
_space_group_name_Hall 'F -4 2 3'
loop_
_atom_site_label
_atom_site_type_symbol
_atom_site_fract_x
_atom_site_fract_y
_atom_site_fract_z
Y1 Y 0.000 0.000 0.000
Mg1 Mg 0.250 0.250 0.750
Cu1 Cu 0.250 0.250 0.250
```



(10)
For YMgCu, a structure optimized by DFT (GGA-PBE) gives the simulated powder diffraction line list in this record (Cu Kα (weighted mean of Kα1 and Kα2)).

The 10 most intense peaks (15 to 90 degrees two-theta), in order of rising 2θ:
(1 1 0), 2θ 23.7, I 26; (2 0 0), 2θ 27.5, I 20; (1 1 1), 2θ 32.9, I 82; (2 0 1), 2θ 35.8, I 100; (2 1 0), 2θ 36.6, I 28; (3 0 0), 2θ 41.7, I 30; (2 1 1), 2θ 43.4, I 23; (0 0 2), 2θ 45.8, I 22; (3 1 1), 2θ 56.1, I 21; (3 2 1), 2θ 67.1, I 23

Atomic structure:
```
data_YMgCu
_chemical_formula_sum 'Y3 Mg3 Cu3'
_cell_length_a 7.5011
_cell_length_b 7.5011
_cell_length_c 3.9595
_cell_angle_alpha 90.00
_cell_angle_beta 90.00
_cell_angle_gamma 120.00
_space_group_name_H-M_alt 'P -6 2 m'
_space_group_IT_number 189
_space_group_name_Hall 'P -6 -2'
loop_
_atom_site_label
_atom_site_type_symbol
_atom_site_fract_x
_atom_site_fract_y
_atom_site_fract_z
Y1 Y 0.0000 0.5863 0.0000
Mg1 Mg 0.0000 0.2433 0.5000
Cu1 Cu 0.0000 0.0000 0.0000
Cu2 Cu 0.3333 0.6667 0.5000
```



(11)
For YMg4Cu, a structure optimized by DFT (GGA-PBE) gives the simulated powder diffraction line list in this record (Cu Kα (weighted mean of Kα1 and Kα2)).

The 10 most intense peaks (15 to 90 degrees two-theta), in order of rising 2θ:
(3 1 0), 2θ 20.6, I 12; (2 4 1), 2θ 31.5, I 38; (3 3 1), 2θ 32.9, I 36; (5 1 0), 2θ 34.1, I 13; (0 6 1), 2θ 35.0, I 100; (3 5 1), 2θ 37.6, I 42; (4 6 0), 2θ 38.4, I 25; (4 4 1), 2θ 39.5, I 11; (0 0 2), 2θ 44.8, I 24; (4 6 2), 2θ 60.4, I 13

Atomic structure:
```
data_YMg4Cu
_chemical_formula_sum 'Y8 Mg32 Cu8'
_cell_length_a 13.244
_cell_length_b 19.940
_cell_length_c 4.047
_cell_angle_alpha 90.00
_cell_angle_beta 90.00
_cell_angle_gamma 90.00
_space_group_name_H-M_alt 'C m m m'
_space_group_IT_number 65
_space_group_name_Hall '-C 2 2'
loop_
_atom_site_label
_atom_site_type_symbol
_atom_site_fract_x
_atom_site_fract_y
_atom_site_fract_z
Y1 Y 0.000 0.133 0.000
Y2 Y 0.199 0.000 0.000
Mg1 Mg 0.000 0.000 0.500
Mg2 Mg 0.000 0.335 0.000
Mg3 Mg 0.000 0.500 0.000
Mg4 Mg 0.120 0.245 0.500
Mg5 Mg 0.130 0.420 0.500
Mg6 Mg 0.245 0.332 0.000
Cu1 Cu 0.159 0.105 0.500
```



(12)
For YMg2Cu9, a structure optimized by DFT (GGA-PBE) gives the simulated powder diffraction line list in this record (Cu Kα (weighted mean of Kα1 and Kα2)).

The 10 most intense peaks (15 to 90 degrees two-theta), in order of rising 2θ:
(1 0 0), 2θ 20.5, I 14; (1 0 5), 2θ 34.6, I 15; (1 1 0), 2θ 35.9, I 16; (2 0 1), 2θ 42.0, I 36; (1 1 4), 2θ 42.5, I 100; (0 0 8), 2θ 44.9, I 32; (2 0 3), 2θ 45.1, I 28; (2 0 4), 2θ 47.6, I 20; (3 0 4), 2θ 69.0, I 21; (2 2 0), 2θ 76.0, I 21

Atomic structure:
```
data_YMg2Cu9
_chemical_formula_sum 'Y2 Mg4 Cu18'
_cell_length_a 5.0080
_cell_length_b 5.0080
_cell_length_c 16.1662
_cell_angle_alpha 90.00
_cell_angle_beta 90.00
_cell_angle_gamma 120.00
_space_group_name_H-M_alt 'P 63/m m c'
_space_group_IT_number 194
_space_group_name_Hall '-P 6c 2c'
loop_
_atom_site_label
_atom_site_type_symbol
_atom_site_fract_x
_atom_site_fract_y
_atom_site_fract_z
Y1 Y 0.3333 0.6667 0.2500
Mg1 Mg 0.3333 0.6667 0.0328
Cu1 Cu 0.0000 0.0000 0.0000
Cu2 Cu 0.0000 0.0000 0.2500
Cu3 Cu 0.1681 0.3362 0.6231
Cu4 Cu 0.3333 0.6667 0.7500
```